Record 1
Starting from DFT lattice parameters and positions (PBE), the XRD peak list of Nd2PuO7 was computed for Cu Kα (λ = 1.5418 Å).
Peak positions follow from Bragg's law for the DFT cell and can differ from measured ones.

Structural model:
```
data_Nd2PuO7
_chemical_formula_sum 'Nd8 Pu4 O28'
_cell_length_a 12.4910
_cell_length_b 6.6696
_cell_length_c 8.6621
_cell_angle_alpha 90.00
_cell_angle_beta 127.08
_cell_angle_gamma 90.00
_space_group_name_H-M_alt 'C 1 2/c 1'
_space_group_IT_number 15
_space_group_name_Hall '-C 2yc'
loop_
_atom_site_label
_atom_site_fract_x
_atom_site_fract_y
_atom_site_fract_z
_atom_site_occupancy
Nd1 0.2023 0.0743 0.3013 1
Pu1 0.0000 0.3347 0.7500 1
O1 0.0000 0.0116 0.7500 1
O2 0.1142 0.2628 0.6676 1
O3 0.1396 0.2958 0.0252 1
O4 0.1513 0.4021 0.3569 1
```

Largest 10 diffraction maxima, most intense first, 2θ = 10–80°:
hkl 3 1 -2, 2θ = 27.02°, 3.300 Å, I 100; hkl 3 1 -1, 2θ = 25.43°, 3.503 Å, I 100; hkl 0 0 2, 2θ = 25.78°, 3.455 Å, I 95; hkl 0 2 1, 2θ = 29.75°, 3.003 Å, I 93; hkl 1 1 1, 2θ = 23.71°, 3.753 Å, I 46; hkl 1 1 -1, 2θ = 16.82°, 5.272 Å, I 45; hkl 6 0 -4, 2θ = 47.95°, 1.897 Å, I 43; hkl 3 1 0, 2θ = 30.05°, 2.973 Å, I 40; hkl 6 0 -2, 2θ = 43.97°, 2.059 Å, I 35; hkl 3 1 -3, 2θ = 34.02°, 2.636 Å, I 33

=====

Record 2
Starting from DFT lattice parameters and positions (PBE), the XRD peak list of Rb5NdO4 was computed for Cu Kα (λ = 1.5418 Å).
Peak positions follow from Bragg's law for the DFT cell and can differ from measured ones.

Structural model:
```
data_Rb5NdO4
_chemical_formula_sum 'Rb10 Nd2 O8'
_cell_length_a 8.7149
_cell_length_b 9.2605
_cell_length_c 6.6821
_cell_angle_alpha 90.00
_cell_angle_beta 90.00
_cell_angle_gamma 90.00
_space_group_name_H-M_alt 'P m m n'
_space_group_IT_number 59
loop_
_space_group_symop_operation_xyz
'x,y,z'
'-x,-y,-z'
'-x+1/2,-y+1/2,z'
'x+1/2,y+1/2,-z'
'x+1/2,-y,-z'
'-x+1/2,y,z'
'-x,y+1/2,-z'
'x,-y+1/2,z'
loop_
_atom_site_label
_atom_site_fract_x
_atom_site_fract_y
_atom_site_fract_z
_atom_site_occupancy
Rb1 0.0127 0.0610 0.2426 1
Rb2 0.2500 0.7500 0.3189 1
Nd1 0.2500 0.2500 0.7160 1
O1 0.0289 0.2500 0.8950 1
O2 0.2500 0.0420 0.5318 1
```

Largest 10 diffraction maxima, most intense first, 2θ = 10–80°:
hkl 2 1 1, 2θ = 26.24°, 3.396 Å, I 100; hkl 0 3 1, 2θ = 31.94°, 2.802 Å, I 84; hkl 2 2 2, 2θ = 39.15°, 2.301 Å, I 68; hkl 2 2 0, 2θ = 28.12°, 3.173 Å, I 67; hkl 0 0 2, 2θ = 26.68°, 3.341 Å, I 54; hkl 4 3 1, 2θ = 53.26°, 1.720 Å, I 36; hkl 2 5 1, 2θ = 55.65°, 1.652 Å, I 32; hkl 4 0 0, 2θ = 41.44°, 2.179 Å, I 25; hkl 4 0 2, 2θ = 49.99°, 1.825 Å, I 22; hkl 0 1 1, 2θ = 16.36°, 5.419 Å, I 19

=====

Record 3
Starting from DFT lattice parameters and positions (PBE), the XRD peak list of RbNdReO6 was computed for Cu Kα (λ = 1.5418 Å).
Peak positions follow from Bragg's law for the DFT cell and can differ from measured ones.

Structural model:
```
data_RbNdReO6
_chemical_formula_sum 'Rb1 Nd1 Re1 O6'
_cell_length_a 5.5884
_cell_length_b 5.8677
_cell_length_c 6.1000
_cell_angle_alpha 91.31
_cell_angle_beta 91.12
_cell_angle_gamma 118.41
_space_group_name_H-M_alt 'P 1'
_space_group_IT_number 1
_space_group_name_Hall 'P 1'
loop_
_atom_site_label
_atom_site_fract_x
_atom_site_fract_y
_atom_site_fract_z
_atom_site_occupancy
Rb1 0.0000 0.0000 0.0000 1
Nd1 0.3520 0.6783 0.4703 1
Re1 0.6742 0.3217 0.5436 1
O1 0.4061 0.0535 0.6863 1
O2 0.4579 0.3723 0.3030 1
O3 0.6147 0.5690 0.6982 1
O4 0.6824 0.0667 0.3521 1
O5 0.9226 0.5914 0.3343 1
O6 0.9838 0.3950 0.6988 1
```

Largest 10 diffraction maxima, most intense first, 2θ = 10–80°:
hkl 0 0 1, 2θ = 14.53°, 6.095 Å, I 100; hkl 1 -1 1, 2θ = 23.25°, 3.825 Å, I 68; hkl 1 1 0, 2θ = 30.53°, 2.928 Å, I 63; hkl 1 0 -1, 2θ = 22.85°, 3.891 Å, I 46; hkl 0 1 1, 2θ = 22.99°, 3.868 Å, I 41; hkl 2 -1 0, 2θ = 32.04°, 2.794 Å, I 26; hkl 0 0 2, 2θ = 29.31°, 3.047 Å, I 24; hkl 3 -3 0, 2θ = 56.16°, 1.638 Å, I 23; hkl 1 0 0, 2θ = 18.06°, 4.913 Å, I 22; hkl 1 0 1, 2θ = 23.65°, 3.762 Å, I 20

=====

Record 4
Starting from DFT lattice parameters and positions (PBE), the XRD peak list of Rb3Nd3RhO8 was computed for Cu Kα (λ = 1.5418 Å).
Peak positions follow from Bragg's law for the DFT cell and can differ from measured ones.

Structural model:
```
data_Rb3Nd3RhO8
_chemical_formula_sum 'Rb9 Nd9 Rh3 O24'
_cell_length_a 7.0615
_cell_length_b 7.0615
_cell_length_c 19.8217
_cell_angle_alpha 90.00
_cell_angle_beta 90.00
_cell_angle_gamma 120.00
_space_group_name_H-M_alt 'R -3 m'
_space_group_IT_number 166
_space_group_name_Hall '-R 3 2"'
loop_
_atom_site_label
_atom_site_fract_x
_atom_site_fract_y
_atom_site_fract_z
_atom_site_occupancy
Rb1 0.0000 0.5000 0.0000 1
Nd1 0.0000 0.5000 0.5000 1
Rh1 0.0000 0.0000 0.5000 1
O1 0.0000 0.0000 0.2268 1
O2 0.0349 0.5174 0.2222 1
```

Largest 10 diffraction maxima, most intense first, 2θ = 10–80°:
hkl 0 2 4, 2θ = 34.47°, 2.602 Å, I 100; hkl 2 0 2, 2θ = 30.60°, 2.922 Å, I 77; hkl 0 0 3, 2θ = 13.40°, 6.607 Å, I 49; hkl 0 0 6, 2θ = 26.99°, 3.304 Å, I 41; hkl 2 0 8, 2θ = 47.21°, 1.925 Å, I 34; hkl 2 2 0, 2θ = 51.79°, 1.765 Å, I 31; hkl 2 2 6, 2θ = 59.36°, 1.557 Å, I 28; hkl 0 2 10, 2θ = 55.23°, 1.663 Å, I 21; hkl 4 0 4, 2θ = 63.70°, 1.461 Å, I 15; hkl 2 2 12, 2θ = 79.45°, 1.206 Å, I 13

=====

Number 3 is which compound? RbNdReO6

=====

What is the formula in the third record? RbNdReO6